Structure and calculated powder diffractogram of Mg2CuAgAs2 (a DFT-relaxed cell (PBE, OQMD); λ = 1.5418 Å (Cu Kα)).
Neutral-atom scattering factors, no anomalous dispersion.

a = 7.573 Å, b = 4.265 Å, c = 14.301 Å
α = 90.00°, β = 98.36°, γ = 90.00°
Fractional coordinates of all 24 atoms:
Mg1 0.000 0.000 0.000
Mg2 0.003 0.500 0.490
Mg3 0.238 0.000 0.733
Mg4 0.242 0.500 0.237
Mg5 0.469 0.000 0.478
Mg6 0.496 0.500 0.993
Mg7 0.735 0.000 0.236
Mg8 0.760 0.500 0.740
Cu1 0.055 0.000 0.183
Cu2 0.062 0.500 0.673
Cu3 0.296 0.500 0.419
Cu4 0.552 0.500 0.177
Ag1 0.302 0.000 0.924
Ag2 0.558 0.000 0.669
Ag3 0.800 0.000 0.426
Ag4 0.812 0.500 0.930
As1 0.115 0.500 0.852
As2 0.123 0.000 0.360
As3 0.352 0.500 0.601
As4 0.369 0.000 0.119
As5 0.596 0.500 0.357
As6 0.619 0.000 0.862
As7 0.872 0.500 0.124
As8 0.889 0.000 0.617

Principal peaks in the range 15 to 90 degrees two-theta, in order of falling intensity:
2θ 25.24, rel. 100, hkl 1 1 1; 2θ 41.55, rel. 87, hkl 3 1 -1; 2θ 42.39, rel. 21, hkl 0 2 0; 2θ 42.21, rel. 21, hkl 2 0 -6; 2θ 49.83, rel. 15, hkl 1 1 -7; 2θ 49.95, rel. 15, hkl 2 2 -2; 2θ 76.96, rel. 13, hkl 3 3 -1; 2θ 61.36, rel. 13, hkl 2 2 -6; 2θ 48.60, rel. 11, hkl 4 0 0; 2θ 75.35, rel. 10, hkl 6 0 -2